# 1
For UCd2CuS6, DFT lattice parameters and positions (PBE) gives the calculated powder diffractogram in this record (λ = 1.5418 Å (Cu Kα)).
Intensities are scaled so that the largest is 100.

Structural model:
Cell lengths 6.3154, 6.5902, 6.8657 Å; angles 115.97, 90.48, 117.52 degrees
Space group P1 (No. 1)
Symmetry-distinct sites (fractional):
1 U 0.0000 0.0000 0.0000 [1 per cell]
2 Cd 0.2164 0.4076 0.5879 [1 per cell]
3 Cd 0.6825 0.3991 0.0793 [1 per cell]
4 Cu 0.4727 0.9559 0.4712 [1 per cell]
5 S 0.1081 0.4785 0.2377 [1 per cell]
6 S 0.2705 0.1269 0.7375 [1 per cell]
7 S 0.3915 0.1396 0.2738 [1 per cell]
8 S 0.6156 0.8746 0.7358 [1 per cell]
9 S 0.7477 0.8797 0.2659 [1 per cell]
10 S 0.9133 0.5392 0.7730 [1 per cell]

Most intense lines, 10° ≤ 2θ ≤ 80°, sorted by position:
16.4 deg, intensity 62, hkl 0 1 -1; 25.0 deg, intensity 100, hkl 1 0 1; 25.2 deg, intensity 84, hkl -1 1 1; 26.1 deg, intensity 71, hkl 0 1 -2; 26.7 deg, intensity 96, hkl 1 1 -1; 27.2 deg, intensity 80, hkl 1 -2 1; 28.3 deg, intensity 80, hkl 2 -1 0; 35.4 deg, intensity 56, hkl 0 2 0; 39.1 deg, intensity 75, hkl 1 1 1; 41.7 deg, intensity 92, hkl -2 1 2

---

# 2
For CdCu2Sb, DFT lattice parameters and positions (PBE) gives the calculated powder diffractogram in this record (λ = 1.5418 Å (Cu Kα)).
Intensities are scaled so that the largest is 100.

Structural model:
Cell lengths 4.2712, 4.2712, 3.9279 Å; angles 90.00, 90.00, 90.00 degrees
Space group P4/mmm (No. 123)
Symmetry-distinct sites (fractional):
1 Cd 0.0000 0.0000 0.0000 [1 per cell]
2 Cu 0.0000 0.5000 0.5000 [2 per cell]
3 Sb 0.5000 0.5000 0.0000 [1 per cell]

Most intense lines, 10° ≤ 2θ ≤ 80°, sorted by position:
22.6 deg, intensity 6, hkl 0 0 1; 29.6 deg, intensity 6, hkl 1 1 0; 37.6 deg, intensity 100, hkl 1 1 1; 42.3 deg, intensity 35, hkl 2 0 0; 46.2 deg, intensity 14, hkl 0 0 2; 48.5 deg, intensity 3, hkl 2 0 1; 61.4 deg, intensity 11, hkl 2 2 0; 64.5 deg, intensity 19, hkl 2 0 2; 74.3 deg, intensity 25, hkl 3 1 1; 79.8 deg, intensity 10, hkl 1 1 3

---

# 3
For ScCdCu2, DFT lattice parameters and positions (PBE) gives the calculated powder diffractogram in this record (λ = 1.5418 Å (Cu Kα)).
Intensities are scaled so that the largest is 100.

Structural model:
Cell lengths 3.2920, 3.2577, 6.2993 Å; angles 90.00, 90.24, 90.00 degrees
Space group P2/m (No. 10)
Symmetry-distinct sites (fractional):
1 Sc 0.0000 0.0000 0.0000 [1 per cell]
2 Cd 0.0000 0.0000 0.5000 [1 per cell]
3 Cu 0.5003 0.5000 0.2409 [2 per cell]

Most intense lines, 10° ≤ 2θ ≤ 80°, sorted by position:
14.1 deg, intensity 24, hkl 0 0 1; 38.9 deg, intensity 100, hkl 1 1 0; 39.5 deg, intensity 47, hkl 1 0 -2; 39.7 deg, intensity 47, hkl 1 0 2; 39.8 deg, intensity 93, hkl 0 1 2; 55.9 deg, intensity 16, hkl 2 0 0; 56.5 deg, intensity 16, hkl 0 2 0; 58.6 deg, intensity 15, hkl 0 0 4; 70.6 deg, intensity 15, hkl 2 1 -2; 70.9 deg, intensity 15, hkl 2 1 2

---

# 4
For Sc11Cd9Cu4, DFT lattice parameters and positions (PBE) gives the calculated powder diffractogram in this record (λ = 1.5418 Å (Cu Kα)).
Intensities are scaled so that the largest is 100.

Structural model:
Cell lengths 13.9235, 20.7914, 3.4085 Å; angles 90.00, 90.00, 90.00 degrees
Space group Cmmm (No. 65)
Symmetry-distinct sites (fractional):
1 Sc 0.0000 0.0000 0.0000 [2 per cell]
2 Sc 0.0000 0.1602 0.0000 [4 per cell]
3 Sc 0.0000 0.3676 0.0000 [4 per cell]
4 Sc 0.1976 0.5000 0.0000 [4 per cell]
5 Sc 0.2467 0.1697 0.0000 [8 per cell]
6 Cd 0.0000 0.5000 0.5000 [2 per cell]
7 Cd 0.1074 0.2600 0.5000 [8 per cell]
8 Cd 0.1432 0.0733 0.5000 [8 per cell]
9 Cu 0.1473 0.4013 0.5000 [8 per cell]

Most intense lines, 10° ≤ 2θ ≤ 80°, sorted by position:
26.1 deg, intensity 21, hkl 0 0 1; 34.0 deg, intensity 10, hkl 2 4 1; 35.1 deg, intensity 10, hkl 3 3 1; 36.6 deg, intensity 53, hkl 4 6 0; 37.0 deg, intensity 100, hkl 0 6 1; 39.5 deg, intensity 10, hkl 1 9 0; 39.8 deg, intensity 12, hkl 6 2 0; 45.5 deg, intensity 15, hkl 4 6 1; 53.8 deg, intensity 13, hkl 0 0 2; 66.8 deg, intensity 16, hkl 4 6 2

---

# 5
For Sc4CdCu2, DFT lattice parameters and positions (PBE) gives the calculated powder diffractogram in this record (λ = 1.5418 Å (Cu Kα)).
Intensities are scaled so that the largest is 100.

Structural model:
Cell lengths 4.5229, 4.5229, 26.3039 Å; angles 90.00, 90.00, 120.00 degrees
Space group R-3m (No. 166, hexagonal axes)
Symmetry-distinct sites (fractional):
1 Sc 0.0000 0.0000 0.1084 [6 per cell]
2 Sc 0.0000 0.0000 0.2992 [6 per cell]
3 Cd 0.0000 0.0000 0.5000 [3 per cell]
4 Cu 0.0000 0.0000 0.4005 [6 per cell]

Most intense lines, 10° ≤ 2θ ≤ 80°, sorted by position:
23.0 deg, intensity 78, hkl 1 0 1; 23.7 deg, intensity 23, hkl 0 1 2; 28.4 deg, intensity 32, hkl 0 1 5; 35.7 deg, intensity 15, hkl 0 1 8; 39.9 deg, intensity 100, hkl 1 1 0; 41.3 deg, intensity 85, hkl 1 0 10; 44.4 deg, intensity 19, hkl 0 1 11; 58.8 deg, intensity 28, hkl 0 2 10; 72.4 deg, intensity 18, hkl 3 0 0; 73.4 deg, intensity 28, hkl 2 1 10

---

# 6
For Sc4CdCu, DFT lattice parameters and positions (PBE) gives the calculated powder diffractogram in this record (λ = 1.5418 Å (Cu Kα)).
Intensities are scaled so that the largest is 100.

Structural model:
Cell lengths 3.2803, 3.2803, 12.0155 Å; angles 90.00, 90.00, 90.00 degrees
Space group P4/mmm (No. 123)
Symmetry-distinct sites (fractional):
1 Sc 0.0000 0.0000 0.1351 [2 per cell]
2 Sc 0.5000 0.5000 0.3275 [2 per cell]
3 Cd 0.0000 0.0000 0.5000 [1 per cell]
4 Cu 0.5000 0.5000 0.0000 [1 per cell]

Most intense lines, 10° ≤ 2θ ≤ 80°, sorted by position:
14.7 deg, intensity 25, hkl 0 0 2; 28.2 deg, intensity 10, hkl 1 0 1; 31.1 deg, intensity 8, hkl 1 0 2; 35.4 deg, intensity 100, hkl 1 0 3; 38.8 deg, intensity 42, hkl 1 1 0; 45.3 deg, intensity 9, hkl 0 0 6; 46.9 deg, intensity 10, hkl 1 0 5; 56.1 deg, intensity 13, hkl 2 0 0; 61.1 deg, intensity 14, hkl 1 1 6; 68.1 deg, intensity 26, hkl 2 1 3

---

# 7
For ScCdCu3Se4, DFT lattice parameters and positions (PBE) gives the calculated powder diffractogram in this record (λ = 1.5418 Å (Cu Kα)).
Intensities are scaled so that the largest is 100.

Structural model:
Cell lengths 5.9256, 5.9256, 5.9256 Å; angles 90.00, 90.00, 90.00 degrees
Space group P-43m (No. 215)
Symmetry-distinct sites (fractional):
1 Sc 0.0000 0.0000 0.0000 [1 per cell]
2 Cd 0.5000 0.5000 0.5000 [1 per cell]
3 Cu 0.0000 0.0000 0.5000 [3 per cell]
4 Se 0.2441 0.2441 0.2441 [4 per cell]

Most intense lines, 10° ≤ 2θ ≤ 80°, sorted by position:
21.2 deg, intensity 12, hkl 1 1 0; 26.0 deg, intensity 100, hkl 1 1 1; 37.2 deg, intensity 6, hkl 2 1 1; 43.2 deg, intensity 99, hkl 2 2 0; 48.6 deg, intensity 2, hkl 3 1 0; 51.1 deg, intensity 45, hkl 3 1 1; 58.3 deg, intensity 3, hkl 3 2 1; 62.7 deg, intensity 15, hkl 4 0 0; 69.1 deg, intensity 18, hkl 3 3 1; 79.2 deg, intensity 31, hkl 4 2 2

---

# 8
For Cd2Cu2Se, DFT lattice parameters and positions (PBE) gives the calculated powder diffractogram in this record (λ = 1.5418 Å (Cu Kα)).
Intensities are scaled so that the largest is 100.

Structural model:
Cell lengths 6.7417, 6.7417, 4.0332 Å; angles 90.00, 90.00, 90.00 degrees
Space group P4/mbm (No. 127)
Symmetry-distinct sites (fractional):
1 Cd 0.1594 0.3406 0.0000 [4 per cell]
2 Cu 0.1334 0.6334 0.5000 [4 per cell]
3 Se 0.0000 0.0000 0.5000 [2 per cell]

Most intense lines, 10° ≤ 2θ ≤ 80°, sorted by position:
29.0 deg, intensity 9, hkl 1 1 1; 29.6 deg, intensity 6, hkl 2 1 0; 34.7 deg, intensity 20, hkl 2 0 1; 37.2 deg, intensity 100, hkl 2 1 1; 42.4 deg, intensity 34, hkl 3 1 0; 45.0 deg, intensity 19, hkl 0 0 2; 61.2 deg, intensity 8, hkl 4 1 1; 62.9 deg, intensity 6, hkl 3 3 1; 63.5 deg, intensity 19, hkl 3 1 2; 77.8 deg, intensity 10, hkl 2 1 3